For Li2Co4OF8, the GGA+U geometry in Alexandria gives the simulated X-ray powder pattern in this record (λ = 1.5418 Å (Cu Kα)).
No peak broadening, texture or thermal motion is included.

Cell and atoms:
Cell lengths 9.2309, 5.1622, 14.1403 Å; angles 90.00, 91.04, 90.00 degrees
Space group Cc (No. 9)
Unique sites:
1 Li 0.0000 0.0091 0.0000 (multiplicity 4)
2 Li 0.4947 0.4727 0.7927 (multiplicity 4)
3 Co 0.1684 0.4925 0.4688 (multiplicity 4)
4 Co 0.1737 0.4684 0.6837 (multiplicity 4)
5 Co 0.3291 0.0152 0.8351 (multiplicity 4)
6 Co 0.3391 0.0028 0.6365 (multiplicity 4)
7 O 0.3348 0.2760 0.7337 (multiplicity 4)
8 F 0.9999 0.3053 0.4054 (multiplicity 4)
9 F 0.0241 0.3623 0.0708 (multiplicity 4)
10 F 0.1523 0.1605 0.9053 (multiplicity 4)
11 F 0.1663 0.1800 0.5653 (multiplicity 4)
12 F 0.1746 0.1717 0.2387 (multiplicity 4)
13 F 0.3228 0.3495 0.0686 (multiplicity 4)
14 F 0.3422 0.3304 0.4061 (multiplicity 4)
15 F 0.4877 0.1796 0.2360 (multiplicity 4)

Main lines, sorted by position (10 to 80 degrees two-theta):
h k l, 2θ (°), d [Å], Rel. int.
2 0 0, 19.23, 4.615, 57
1 1 0, 19.71, 4.505, 100
1 1 -4, 32.05, 2.793, 95
2 0 4, 32.18, 2.782, 45
3 1 0, 33.92, 2.643, 63
0 2 6, 52.60, 1.740, 46